This entry pairs a crystal structure of MgFeSiO4 with its computed X-ray diffraction stick pattern. Radiation: Cu Kα X-rays. Structure: DFT lattice parameters and positions (PBE+U).

Cell and atoms:
```
MgFeSiO4
1.0
10.516 0.000 0.000
0.000 6.145 0.000
0.000 0.000 4.818
Mg Fe Si O
4 4 4 16
direct
0.000 0.000 0.000
0.000 0.500 0.000
0.500 0.000 0.500
0.500 0.500 0.500
0.222 0.250 0.488
0.278 0.750 0.988
0.722 0.250 0.012
0.778 0.750 0.512
0.093 0.750 0.427
0.407 0.250 0.927
0.593 0.750 0.073
0.907 0.250 0.573
0.049 0.250 0.728
0.087 0.750 0.765
0.162 0.535 0.283
0.162 0.965 0.283
0.338 0.035 0.783
0.338 0.465 0.783
0.413 0.250 0.265
0.451 0.750 0.228
0.549 0.250 0.772
0.587 0.750 0.735
0.662 0.535 0.217
0.662 0.965 0.217
0.838 0.035 0.717
0.838 0.465 0.717
0.913 0.250 0.235
0.951 0.750 0.272
```

The 12 most intense peaks (10° ≤ 2θ ≤ 80°), most intense first:
- d = 2.574 Å, 2θ 34.86, I 100
- d = 3.567 Å, 2θ 24.96, I 89
- d = 1.783 Å, 2θ 51.22, I 63
- d = 2.835 Å, 2θ 31.56, I 54
- d = 2.515 Å, 2θ 35.69, I 54
- d = 3.073 Å, 2θ 29.06, I 38
- d = 1.537 Å, 2θ 60.23, I 33
- d = 1.522 Å, 2θ 60.84, I 26
- d = 1.660 Å, 2θ 55.33, I 24
- d = 1.776 Å, 2θ 51.45, I 21
- d = 2.417 Å, 2θ 37.20, I 21
- d = 2.324 Å, 2θ 38.75, I 18



This entry pairs a crystal structure of Er2MgCr2O8 with its computed X-ray diffraction stick pattern. Radiation: Cu Kα X-rays. Structure: DFT lattice parameters and positions (PBE+U).

Cell and atoms:
```
Er2MgCr2O8
1.0
5.008 0.000 0.000
-0.944 5.026 0.000
-2.047 -2.480 7.182
Er Mg Cr O
2 1 2 8
direct
0.000 0.000 0.000
0.174 0.671 0.346
0.843 0.346 0.690
0.511 0.512 0.023
0.649 0.147 0.297
0.172 0.253 0.847
0.327 0.793 0.104
0.374 0.348 0.226
0.546 0.034 0.485
0.673 0.597 0.846
0.777 0.310 0.103
0.853 0.876 0.226
0.940 0.448 0.485
```

The 12 most intense peaks (10° ≤ 2θ ≤ 80°), most intense first:
- d = 7.182 Å, 2θ 12.32, I 100
- d = 2.402 Å, 2θ 37.44, I 54
- d = 3.430 Å, 2θ 25.98, I 54
- d = 3.417 Å, 2θ 26.08, I 52
- d = 2.946 Å, 2θ 30.33, I 50
- d = 4.656 Å, 2θ 19.06, I 38
- d = 1.716 Å, 2θ 53.39, I 24
- d = 2.394 Å, 2θ 37.58, I 23
- d = 1.947 Å, 2θ 46.65, I 21
- d = 3.475 Å, 2θ 25.64, I 20
- d = 3.459 Å, 2θ 25.76, I 19
- d = 2.513 Å, 2θ 35.73, I 17



This entry pairs a crystal structure of Ca3Mn2Si4O14 with its computed X-ray diffraction stick pattern. Radiation: Cu Kα X-rays. Structure: DFT lattice parameters and positions (PBE+U).

Cell and atoms:
```
Ca3Mn2Si4O14
1.0
8.587 -3.870 0.000
8.587 3.870 0.000
-5.579 0.000 8.510
Ca Mn Si O
6 4 8 28
direct
0.154 0.846 0.750
0.269 0.339 0.542
0.339 0.269 0.042
0.661 0.731 0.958
0.731 0.661 0.458
0.846 0.154 0.250
0.286 0.714 0.250
0.500 0.500 0.000
0.500 0.500 0.500
0.714 0.286 0.750
0.033 0.714 0.354
0.034 0.611 0.841
0.286 0.967 0.146
0.389 0.966 0.659
0.611 0.034 0.341
0.714 0.033 0.854
0.966 0.389 0.159
0.967 0.286 0.646
0.008 0.550 0.185
0.029 0.606 0.678
0.043 0.851 0.310
0.149 0.957 0.190
0.157 0.175 0.094
0.175 0.157 0.594
0.204 0.624 0.504
0.236 0.557 0.982
0.376 0.796 0.996
0.394 0.971 0.822
0.395 0.472 0.281
0.443 0.764 0.518
0.450 0.992 0.315
0.472 0.395 0.781
0.528 0.605 0.219
0.550 0.008 0.685
0.557 0.236 0.482
0.605 0.528 0.719
0.606 0.029 0.178
0.624 0.204 0.004
0.764 0.443 0.018
0.796 0.376 0.496
0.825 0.843 0.406
0.843 0.825 0.906
0.851 0.043 0.810
0.957 0.149 0.690
0.971 0.394 0.322
0.992 0.450 0.815
```

The 12 most intense peaks (10° ≤ 2θ ≤ 80°), most intense first:
- d = 2.862 Å, 2θ 31.25, I 100
- d = 3.249 Å, 2θ 27.45, I 87
- d = 3.109 Å, 2θ 28.71, I 71
- d = 2.798 Å, 2θ 31.99, I 64
- d = 2.301 Å, 2θ 39.15, I 60
- d = 2.540 Å, 2θ 35.34, I 33
- d = 6.814 Å, 2θ 12.99, I 30
- d = 1.789 Å, 2θ 51.06, I 28
- d = 3.008 Å, 2θ 29.70, I 26
- d = 3.146 Å, 2θ 28.37, I 23
- d = 7.182 Å, 2θ 12.32, I 21
- d = 1.920 Å, 2θ 47.36, I 20



This entry pairs a crystal structure of Li2FeSi6O15 with its computed X-ray diffraction stick pattern. Radiation: Cu Kα X-rays. Structure: DFT lattice parameters and positions (PBE+U).

Cell and atoms:
```
Li2FeSi6O15
1.0
6.861 0.000 0.000
-2.875 6.713 0.000
-2.888 -2.224 6.544
Li Fe Si O
2 1 6 15
direct
0.213 0.173 0.143
0.787 0.827 0.857
0.500 0.000 0.000
0.146 0.802 0.216
0.218 0.509 0.698
0.372 0.173 0.611
0.628 0.827 0.389
0.782 0.491 0.302
0.854 0.198 0.784
0.000 0.500 0.500
0.115 0.394 0.842
0.149 0.867 0.018
0.195 0.018 0.372
0.321 0.048 0.767
0.327 0.375 0.616
0.349 0.737 0.341
0.447 0.743 0.833
0.553 0.257 0.167
0.651 0.263 0.659
0.673 0.625 0.384
0.679 0.952 0.233
0.805 0.982 0.628
0.851 0.133 0.982
0.885 0.606 0.158
```

The 12 most intense peaks (10° ≤ 2θ ≤ 80°), most intense first:
- d = 3.960 Å, 2θ 22.45, I 100
- d = 3.084 Å, 2θ 28.95, I 47
- d = 5.787 Å, 2θ 15.31, I 45
- d = 3.251 Å, 2θ 27.44, I 43
- d = 3.391 Å, 2θ 26.28, I 37
- d = 3.148 Å, 2θ 28.35, I 26
- d = 6.356 Å, 2θ 13.93, I 18
- d = 2.465 Å, 2θ 36.45, I 17
- d = 5.547 Å, 2θ 15.98, I 13
- d = 1.803 Å, 2θ 50.62, I 11
- d = 2.889 Å, 2θ 30.95, I 11
- d = 2.151 Å, 2θ 42.01, I 9